# 1
YHoTlAu2: computed powder diffractogram (Cu Kα (λ = 1.5418 Å)), based on the GGA-PBE geometry in OQMD.
Peak positions follow from Bragg's law for the DFT cell and can differ from measured ones.

Most intense lines, 10° ≤ 2θ ≤ 80°, low angle first:
| two_theta | I_rel | h k l |
| --- | --- | --- |
| 32.49 | 100 | 1 1 1 |
| 34.92 | 45 | 1 0 4 |
| 36.21 | 80 | 0 1 5 |
| 36.86 | 32 | 1 1 3 |
| 39.73 | 41 | 0 2 0 |
| 44.49 | 34 | 1 1 5 |

Atomic structure:
a b c (Å): 3.568 4.537 14.812
angles (deg): 90.00 90.00 90.00
Space group Amm2 (No. 38)
Unique sites:
Y 0.000 0.000 0.000 (multiplicity 2)
Ho 0.000 0.000 0.740 (multiplicity 2)
Tl 0.500 0.000 0.371 (multiplicity 2)
Au 0.500 0.000 0.176 (multiplicity 2)
Au 0.500 0.000 0.567 (multiplicity 2)

# 2
HoTm2Zn3Au3: computed powder diffractogram (Cu Kα (λ = 1.5418 Å)), based on the GGA-PBE geometry in OQMD.
Peak positions follow from Bragg's law for the DFT cell and can differ from measured ones.

Most intense lines, 10° ≤ 2θ ≤ 80°, low angle first:
| two_theta | I_rel | h k l |
| --- | --- | --- |
| 24.25 | 31 | 0 3 1 |
| 33.30 | 73 | 1 0 2 |
| 36.26 | 100 | 1 2 2 |
| 42.71 | 29 | 0 3 3 |
| 44.10 | 37 | 1 5 1 |
| 64.44 | 26 | 2 3 3 |

Atomic structure:
a b c (Å): 3.956 12.732 7.329
angles (deg): 90.00 90.00 90.00
Space group Amm2 (No. 38)
Unique sites:
Ho 0.000 0.000 0.000 (multiplicity 2)
Tm 0.000 0.204 0.388 (multiplicity 4)
Zn 0.500 0.000 0.341 (multiplicity 2)
Zn 0.500 0.125 0.718 (multiplicity 4)
Au 0.000 0.000 0.590 (multiplicity 2)
Au 0.500 0.168 0.093 (multiplicity 4)

# 3
InAuI6: computed powder diffractogram (Cu Kα (λ = 1.5418 Å)), based on the GGA-PBE geometry in OQMD.
Peak positions follow from Bragg's law for the DFT cell and can differ from measured ones.

Most intense lines, 10° ≤ 2θ ≤ 80°, low angle first:
| two_theta | I_rel | h k l |
| --- | --- | --- |
| 12.37 | 50 | 0 0 1 |
| 24.13 | 100 | 1 -1 1 |
| 30.86 | 53 | 1 2 2 |
| 32.46 | 44 | 2 1 -1 |
| 40.43 | 27 | 0 3 1 |
| 45.40 | 31 | -1 1 3 |

Atomic structure:
a b c (Å): 7.262 7.300 7.558
angles (deg): 77.36 72.55 69.00
Space group P1 (No. 1)
Unique sites:
In 0.000 0.000 0.000 (multiplicity 1)
Au 0.381 0.310 0.044 (multiplicity 1)
I 0.051 0.227 0.266 (multiplicity 1)
I 0.097 0.742 0.739 (multiplicity 1)
I 0.343 0.559 0.275 (multiplicity 1)
I 0.390 0.079 0.806 (multiplicity 1)
I 0.713 0.889 0.297 (multiplicity 1)
I 0.733 0.370 0.831 (multiplicity 1)

# 4
K2AuI5O15: computed powder diffractogram (Cu Kα (λ = 1.5418 Å)), based on the GGA-PBE geometry in OQMD.
Peak positions follow from Bragg's law for the DFT cell and can differ from measured ones.

Most intense lines, 10° ≤ 2θ ≤ 80°, low angle first:
| two_theta | I_rel | h k l |
| --- | --- | --- |
| 15.73 | 20 | 0 0 2 |
| 19.19 | 18 | 1 1 2 |
| 27.10 | 100 | 2 2 2 |
| 31.07 | 18 | 0 4 0 |
| 31.35 | 19 | 4 0 0 |
| 44.72 | 20 | 4 4 0 |

Atomic structure:
a b c (Å): 11.413 11.513 11.267
angles (deg): 90.00 90.00 90.00
Space group Cmc2_1 (No. 36)
Unique sites:
K 0.231 0.243 0.000 (multiplicity 8)
Au 0.000 0.011 0.898 (multiplicity 4)
I 0.000 0.240 0.725 (multiplicity 4)
I 0.000 0.256 0.276 (multiplicity 4)
I 0.000 0.499 0.003 (multiplicity 4)
I 0.244 0.486 0.756 (multiplicity 8)
O 0.000 0.163 0.419 (multiplicity 4)
O 0.000 0.187 0.886 (multiplicity 4)
O 0.000 0.358 0.079 (multiplicity 4)
O 0.119 0.348 0.333 (multiplicity 8)
O 0.121 0.431 0.585 (multiplicity 8)
O 0.124 0.154 0.672 (multiplicity 8)
O 0.140 0.392 0.837 (multiplicity 8)
O 0.154 0.122 0.197 (multiplicity 8)
O 0.176 0.014 0.904 (multiplicity 8)

# 5
LiAuI2: computed powder diffractogram (Cu Kα (λ = 1.5418 Å)), based on the GGA-PBE geometry in OQMD.
Peak positions follow from Bragg's law for the DFT cell and can differ from measured ones.

Most intense lines, 10° ≤ 2θ ≤ 80°, low angle first:
| two_theta | I_rel | h k l |
| --- | --- | --- |
| 11.98 | 57 | 0 0 1 |
| 22.37 | 100 | 1 0 0 |
| 25.44 | 60 | 1 0 1 |
| 33.10 | 56 | 1 0 2 |
| 39.26 | 61 | 1 1 0 |
| 43.21 | 62 | 1 0 3 |

Atomic structure:
a b c (Å): 4.5899 4.5899 7.3893
angles (deg): 90.00 90.00 120.00
Space group P3m1 (No. 156)
Unique sites:
Li 0.0000 0.0000 0.0000 (multiplicity 1)
Au 0.3333 0.6667 0.4920 (multiplicity 1)
I 0.0000 0.0000 0.6207 (multiplicity 1)
I 0.3333 0.6667 0.1098 (multiplicity 1)

# 6
AuI2O6: computed powder diffractogram (Cu Kα (λ = 1.5418 Å)), based on the GGA-PBE geometry in OQMD.
Peak positions follow from Bragg's law for the DFT cell and can differ from measured ones.

Most intense lines, 10° ≤ 2θ ≤ 80°, low angle first:
| two_theta | I_rel | h k l |
| --- | --- | --- |
| 14.29 | 69 | 0 0 1 |
| 15.63 | 100 | 0 1 1 |
| 26.00 | 62 | 0 1 2 |
| 33.04 | 43 | 1 1 -1 |
| 33.37 | 41 | 1 2 1 |
| 34.57 | 42 | 1 -1 1 |

Atomic structure:
a b c (Å): 4.012 6.562 6.909
angles (deg): 63.79 85.63 83.06
Space group P-1 (No. 2)
Unique sites:
Au 0.000 0.000 0.000 (multiplicity 1)
I 0.464 0.346 0.791 (multiplicity 2)
O 0.055 0.231 0.266 (multiplicity 2)
O 0.095 0.679 0.612 (multiplicity 2)
O 0.150 0.935 0.740 (multiplicity 2)

# 7
AuIO: computed powder diffractogram (Cu Kα (λ = 1.5418 Å)), based on the GGA-PBE geometry in OQMD.
Peak positions follow from Bragg's law for the DFT cell and can differ from measured ones.

Most intense lines, 10° ≤ 2θ ≤ 80°, low angle first:
| two_theta | I_rel | h k l |
| --- | --- | --- |
| 16.90 | 88 | 1 1 1 |
| 23.65 | 100 | 1 2 2 |
| 24.12 | 91 | 1 3 1 |
| 25.14 | 65 | 0 2 3 |
| 35.95 | 91 | 1 4 3 |
| 45.48 | 58 | 3 0 2 |

Atomic structure:
a b c (Å): 6.336 14.688 12.128
angles (deg): 90.00 90.00 90.00
Space group Pbca (No. 61)
Unique sites:
Au 0.085 0.022 0.116 (multiplicity 8)
Au 0.248 0.683 0.350 (multiplicity 8)
I 0.101 0.712 0.037 (multiplicity 8)
I 0.197 0.595 0.767 (multiplicity 8)
O 0.058 0.139 0.211 (multiplicity 8)
O 0.065 0.586 0.512 (multiplicity 8)

# 8
PbAuIO: computed powder diffractogram (Cu Kα (λ = 1.5418 Å)), based on the GGA-PBE geometry in OQMD.
Peak positions follow from Bragg's law for the DFT cell and can differ from measured ones.

Most intense lines, 10° ≤ 2θ ≤ 80°, low angle first:
| two_theta | I_rel | h k l |
| --- | --- | --- |
| 24.79 | 52 | 1 1 1 |
| 25.98 | 99 | 2 0 2 |
| 27.42 | 100 | 1 1 2 |
| 31.36 | 71 | 1 1 3 |
| 33.69 | 61 | 2 1 2 |
| 36.22 | 43 | 1 1 4 |

Atomic structure:
a b c (Å): 8.012 4.216 13.280
angles (deg): 90.00 90.00 90.00
Space group Pnma (No. 62)
Unique sites:
Pb 0.188 0.250 0.021 (multiplicity 4)
Au 0.063 0.750 0.793 (multiplicity 4)
I 0.013 0.250 0.662 (multiplicity 4)
O 0.103 0.750 0.954 (multiplicity 4)

# 9
RbAuI4O12: computed powder diffractogram (Cu Kα (λ = 1.5418 Å)), based on the GGA-PBE geometry in OQMD.
Peak positions follow from Bragg's law for the DFT cell and can differ from measured ones.

Most intense lines, 10° ≤ 2θ ≤ 80°, low angle first:
| two_theta | I_rel | h k l |
| --- | --- | --- |
| 17.83 | 40 | 1 1 0 |
| 26.79 | 99 | 3 1 0 |
| 27.18 | 100 | 1 1 -2 |
| 30.06 | 44 | 4 0 -2 |
| 30.53 | 53 | 2 0 2 |
| 51.83 | 34 | 5 1 2 |

Atomic structure:
a b c (Å): 13.376 5.409 8.253
angles (deg): 90.00 108.82 90.00
Space group C2 (No. 5)
Unique sites:
Rb 0.000 0.000 0.000 (multiplicity 2)
Au 0.000 0.142 0.500 (multiplicity 2)
I 0.157 0.472 0.346 (multiplicity 4)
I 0.177 0.425 0.833 (multiplicity 4)
O 0.027 0.538 0.198 (multiplicity 4)
O 0.103 0.127 0.738 (multiplicity 4)
O 0.124 0.146 0.412 (multiplicity 4)
O 0.146 0.634 0.536 (multiplicity 4)
O 0.200 0.831 0.198 (multiplicity 4)
O 0.202 0.298 0.049 (multiplicity 4)

# 10
PAu4I: computed powder diffractogram (Cu Kα (λ = 1.5418 Å)), based on the GGA-PBE geometry in OQMD.
Peak positions follow from Bragg's law for the DFT cell and can differ from measured ones.

Most intense lines, 10° ≤ 2θ ≤ 80°, low angle first:
| two_theta | I_rel | h k l |
| --- | --- | --- |
| 21.24 | 21 | 1 1 -1 |
| 31.26 | 100 | 1 3 -1 |
| 32.27 | 31 | 0 4 0 |
| 38.96 | 19 | 3 3 -1 |
| 46.29 | 25 | 4 4 0 |
| 49.34 | 16 | 4 0 -2 |

Atomic structure:
a b c (Å): 11.080 11.112 4.946
angles (deg): 90.00 90.15 90.00
Space group Cm (No. 8)
Unique sites:
P 0.000 0.249 0.000 (multiplicity 4)
Au 0.113 0.363 0.700 (multiplicity 4)
Au 0.115 0.135 0.298 (multiplicity 4)
Au 0.385 0.364 0.703 (multiplicity 4)
Au 0.388 0.137 0.301 (multiplicity 4)
I 0.249 0.500 0.337 (multiplicity 2)
I 0.251 0.000 0.665 (multiplicity 2)

# 11
P10Au7I: computed powder diffractogram (Cu Kα (λ = 1.5418 Å)), based on the GGA-PBE geometry in OQMD.
Peak positions follow from Bragg's law for the DFT cell and can differ from measured ones.

Most intense lines, 10° ≤ 2θ ≤ 80°, low angle first:
| two_theta | I_rel | h k l |
| --- | --- | --- |
| 22.75 | 100 | 1 0 2 |
| 28.47 | 53 | 1 1 0 |
| 29.57 | 89 | 1 1 1 |
| 31.80 | 55 | 0 0 4 |
| 32.99 | 53 | 2 0 0 |
| 33.96 | 69 | 2 0 1 |

Atomic structure:
a b c (Å): 6.2712 6.2712 11.2557
angles (deg): 90.00 90.00 120.00
Space group P-31m (No. 162)
Unique sites:
P 0.0000 0.3761 0.1990 (multiplicity 6)
P 0.3333 0.6667 0.2919 (multiplicity 4)
Au 0.0000 0.0000 0.2244 (multiplicity 2)
Au 0.0000 0.5000 0.0000 (multiplicity 3)
Au 0.3333 0.6667 0.5000 (multiplicity 2)
I 0.0000 0.0000 0.5000 (multiplicity 1)